Li2Cr3FeO8: calculated PXRD pattern (Cu Kα X-rays), based on DFT lattice parameters and positions (GGA+U).
Kinematic intensities with the Lorentz-polarization factor, no thermal factor.

Atomic structure:
Cell lengths 5.9304, 5.9304, 14.5485 Å; angles 90.00, 90.00, 120.00 degrees
Space group R-3m (No. 166, hexagonal axes)
Inequivalent atoms, fractional coordinates:
Li 0.0000 0.0000 0.1275
Cr 0.0000 0.5000 0.0000
Fe 0.0000 0.0000 0.5000
O 0.0000 0.0000 0.2624
O 0.0341 0.5170 0.2568

Principal peaks in the range 5 to 70 degrees two-theta, by intensity:
- 18.31°, d = 4.845 Å, I 100.0, hkl 1 0 1
- 43.12°, d = 2.098 Å, I 55.5, hkl 0 2 4
- 35.48°, d = 2.530 Å, I 46.1, hkl 1 1 3
- 62.63°, d = 1.483 Å, I 32.7, hkl 2 2 0
- 57.03°, d = 1.615 Å, I 20.1, hkl 0 3 3
- 65.85°, d = 1.418 Å, I 13.4, hkl 2 1 7
- 37.11°, d = 2.422 Å, I 9.6, hkl 0 0 6
- 47.21°, d = 1.925 Å, I 9.5, hkl 1 0 7
- 30.13°, d = 2.966 Å, I 0.6, hkl 1 1 0